No. 1
For NdNb2CuClO7, the GGA-PBE geometry in the Materials Project gives the computed powder diffraction line list in this record (Cu Kα (weighted mean of Kα1 and Kα2)).
Peak positions follow from Bragg's law for the DFT cell and can differ from measured ones.

Peak list (10 most intense, 10° ≤ 2θ ≤ 90°, by angle)
| 2θ/deg | I_rel |
| --- | --- |
| 22.76 | 23 |
| 23.99 | 26 |
| 27.37 | 100 |
| 32.28 | 91 |
| 32.41 | 92 |
| 44.94 | 39 |
| 46.49 | 55 |
| 54.80 | 28 |
| 57.73 | 37 |
| 67.86 | 25 |

abc: 3.9066 3.9066 11.8103
angles: 90.00 90.00 90.00
Fractional coordinates of all 12 atoms:
Nd 0.0000 0.0000 0.0000
Nb 0.5000 0.5000 0.1922
Nb 0.5000 0.5000 0.8078
Cu 0.5000 0.5000 0.5000
Cl 0.0000 0.0000 0.5000
O 0.0000 0.5000 0.1532
O 0.0000 0.5000 0.8468
O 0.5000 0.0000 0.1532
O 0.5000 0.0000 0.8468
O 0.5000 0.5000 0.0000
O 0.5000 0.5000 0.3451
O 0.5000 0.5000 0.6549

***

No. 2
For Mg2TiIn3S8, the GGA-PBE geometry in the Materials Project gives the computed powder diffraction line list in this record (Cu Kα (weighted mean of Kα1 and Kα2)).
Peak positions follow from Bragg's law for the DFT cell and can differ from measured ones.

Peak list (10 most intense, 10° ≤ 2θ ≤ 90°, by angle)
| 2θ/deg | I_rel |
| --- | --- |
| 14.20 | 54 |
| 14.32 | 47 |
| 27.38 | 84 |
| 27.55 | 18 |
| 33.24 | 100 |
| 43.55 | 16 |
| 47.56 | 46 |
| 47.88 | 45 |
| 49.92 | 16 |
| 59.25 | 16 |

abc: 7.6004 7.6004 7.5984
angles: 119.57 119.57 60.40
Fractional coordinates of all 14 atoms:
Mg 0.0000 0.0000 0.0000
Mg 0.7489 0.7489 0.2504
Ti 0.3742 0.3742 0.6251
In 0.3744 0.3744 0.1256
In 0.3749 0.8743 0.6257
In 0.8743 0.3749 0.6257
S 0.1323 0.1323 0.8673
S 0.1408 0.1408 0.3996
S 0.1407 0.6004 0.8591
S 0.1487 0.6082 0.3916
S 0.6004 0.1407 0.8591
S 0.6082 0.1487 0.3916
S 0.6079 0.6079 0.8510
S 0.6167 0.6167 0.3833

***

No. 3
For CaB2Ir2, the GGA-PBE geometry in the Materials Project gives the computed powder diffraction line list in this record (Cu Kα (weighted mean of Kα1 and Kα2)).
Peak positions follow from Bragg's law for the DFT cell and can differ from measured ones.

Peak list (10 most intense, 10° ≤ 2θ ≤ 90°, by angle)
| 2θ/deg | I_rel |
| --- | --- |
| 19.51 | 100 |
| 30.60 | 71 |
| 33.25 | 27 |
| 33.61 | 21 |
| 35.78 | 75 |
| 38.70 | 31 |
| 41.33 | 36 |
| 45.81 | 15 |
| 49.65 | 42 |
| 51.92 | 18 |

abc: 7.1200 6.1579 5.5256
angles: 74.87 56.61 48.52
Fractional coordinates of all 10 atoms:
Ca 0.1250 0.1250 0.1250
Ca 0.8750 0.8750 0.8750
B 0.1976 0.5524 0.1976
B 0.4476 0.8024 0.4476
B 0.5524 0.1976 0.5524
B 0.8024 0.4476 0.8024
Ir 0.2452 0.2452 0.5048
Ir 0.4952 0.4952 0.7548
Ir 0.5048 0.5048 0.2452
Ir 0.7548 0.7548 0.4952

***

No. 4
For Sr3Ag2, the GGA-PBE geometry in the Materials Project gives the computed powder diffraction line list in this record (Cu Kα (weighted mean of Kα1 and Kα2)).
Peak positions follow from Bragg's law for the DFT cell and can differ from measured ones.

Peak list (10 most intense, 10° ≤ 2θ ≤ 90°, by angle)
| 2θ/deg | I_rel |
| --- | --- |
| 11.23 | 29 |
| 27.61 | 37 |
| 28.55 | 30 |
| 28.84 | 100 |
| 30.92 | 48 |
| 33.34 | 67 |
| 33.79 | 63 |
| 37.68 | 20 |
| 44.74 | 24 |
| 62.81 | 19 |

abc: 8.5189 8.5189 8.5189
angles: 72.04 72.04 72.04
Fractional coordinates of all 15 atoms:
Sr 0.0000 0.0000 0.0000
Sr 0.1639 0.6627 0.3914
Sr 0.2056 0.2056 0.2056
Sr 0.3373 0.6086 0.8361
Sr 0.3914 0.1639 0.6627
Sr 0.6086 0.8361 0.3373
Sr 0.6627 0.3913 0.1639
Sr 0.7944 0.7944 0.7944
Sr 0.8361 0.3373 0.6086
Ag 0.0413 0.4111 0.8577
Ag 0.1423 0.9587 0.5889
Ag 0.4111 0.8577 0.0413
Ag 0.5889 0.1423 0.9587
Ag 0.8577 0.0413 0.4111
Ag 0.9587 0.5889 0.1423

***

No. 5
For Mg2SiSe4, the GGA-PBE geometry in the Materials Project gives the computed powder diffraction line list in this record (Cu Kα (weighted mean of Kα1 and Kα2)).
Peak positions follow from Bragg's law for the DFT cell and can differ from measured ones.

Peak list (10 most intense, 10° ≤ 2θ ≤ 90°, by angle)
| 2θ/deg | I_rel |
| --- | --- |
| 26.07 | 17 |
| 28.36 | 29 |
| 29.74 | 100 |
| 30.03 | 55 |
| 38.90 | 33 |
| 45.79 | 18 |
| 46.39 | 31 |
| 51.08 | 28 |
| 51.26 | 16 |
| 55.73 | 16 |

abc: 13.5079 7.9262 6.2947
angles: 90.00 90.00 90.00
Fractional coordinates of all 28 atoms:
Mg 0.0000 0.0000 0.0000
Mg 0.0000 0.5000 0.0000
Mg 0.2320 0.2500 0.4953
Mg 0.2680 0.7500 0.9953
Mg 0.5000 0.0000 0.5000
Mg 0.5000 0.5000 0.5000
Mg 0.7320 0.2500 0.0047
Mg 0.7680 0.7500 0.5047
Si 0.0889 0.7500 0.4073
Si 0.4111 0.2500 0.9073
Si 0.5889 0.7500 0.0927
Si 0.9111 0.2500 0.5927
Se 0.0673 0.2500 0.7436
Se 0.0927 0.7500 0.7687
Se 0.1675 0.5222 0.2519
Se 0.1675 0.9778 0.2519
Se 0.3325 0.0222 0.7519
Se 0.3325 0.4778 0.7519
Se 0.4073 0.2500 0.2687
Se 0.4327 0.7500 0.2436
Se 0.5673 0.2500 0.7564
Se 0.5927 0.7500 0.7313
Se 0.6675 0.5222 0.2481
Se 0.6675 0.9778 0.2481
Se 0.8325 0.0222 0.7481
Se 0.8325 0.4778 0.7481
Se 0.9073 0.2500 0.2313
Se 0.9327 0.7500 0.2564

***

No. 6
For MgTe4Mo2W2Se2S2, the GGA-PBE geometry in the Materials Project gives the computed powder diffraction line list in this record (Cu Kα (weighted mean of Kα1 and Kα2)).
Peak positions follow from Bragg's law for the DFT cell and can differ from measured ones.

Peak list (10 most intense, 10° ≤ 2θ ≤ 90°, by angle)
| 2θ/deg | I_rel |
| --- | --- |
| 11.45 | 55 |
| 30.41 | 53 |
| 31.92 | 28 |
| 34.19 | 72 |
| 37.28 | 26 |
| 39.72 | 100 |
| 41.04 | 22 |
| 54.01 | 38 |
| 54.98 | 20 |
| 69.09 | 19 |

abc: 3.3958 3.3958 46.3839
angles: 90.00 90.00 60.01
Fractional coordinates of all 13 atoms:
Mg 0.0000 0.0000 0.0000
Te 0.3339 0.3339 0.8487
Te 0.3342 0.3342 0.9298
Te 0.6674 0.6674 0.4195
Te 0.6676 0.6676 0.5006
Mo 0.3343 0.3343 0.0922
Mo 0.6674 0.6674 0.8891
W 0.3342 0.3342 0.4600
W 0.6675 0.6675 0.2716
Se 0.3341 0.3341 0.2360
Se 0.3343 0.3343 0.3073
S 0.6674 0.6674 0.1244
S 0.6679 0.6679 0.0596

***

No. 7
For LiAgF4, the GGA-PBE geometry in the Materials Project gives the computed powder diffraction line list in this record (Cu Kα (weighted mean of Kα1 and Kα2)).
Peak positions follow from Bragg's law for the DFT cell and can differ from measured ones.

Peak list (10 most intense, 10° ≤ 2θ ≤ 90°, by angle)
| 2θ/deg | I_rel |
| --- | --- |
| 17.44 | 81 |
| 22.77 | 100 |
| 28.11 | 77 |
| 28.36 | 32 |
| 29.51 | 48 |
| 33.48 | 40 |
| 41.39 | 46 |
| 45.88 | 16 |
| 50.06 | 17 |
| 50.92 | 19 |

abc: 6.3639 6.3639 4.9902
angles: 109.99 109.99 59.28
Fractional coordinates of all 12 atoms:
Li 0.1574 0.8426 0.7500
Li 0.8426 0.1574 0.2500
Ag 0.0000 0.5000 0.0000
Ag 0.5000 0.0000 0.5000
F 0.0084 0.2119 0.6815
F 0.2119 0.0084 0.1815
F 0.2210 0.5201 0.8228
F 0.4799 0.7790 0.6772
F 0.5201 0.2210 0.3228
F 0.7790 0.4799 0.1772
F 0.7881 0.9916 0.8185
F 0.9916 0.7881 0.3185